The following is a simulated PXRD pattern of CuBIr. It was derived from a DFT-relaxed cell (PBE, the Materials Project), using Cu Kα X-rays.
Kinematic intensities with the Lorentz-polarization factor, no thermal factor.

Largest 8 diffraction maxima, sorted by position, 2θ from 10° to 90°:
2θ/deg, intensity, (hkl)
19.11, 65, 1 1 1
31.80, 39, 1 3 1
34.20, 100, 2 0 2
34.86, 47, 3 1 1
35.91, 67, 0 4 0
43.49, 49, 3 3 1
43.65, 32, 1 1 3
50.43, 69, 2 4 2

Cell and atoms:
a b c (Å): 8.743 10.003 6.554
angles (deg): 90.00 90.00 90.00
Space group Fdd2 (No. 43)
Unique sites:
1 Cu 0.087 0.115 0.000 x16
2 B 0.059 0.232 0.685 x16
3 Ir 0.016 0.137 0.412 x16